[1]
Starting from a PBE+U-relaxed structure, the powder diffraction line list of CsNpMoO6 was simulated for CuKα.
No peak broadening, texture or thermal motion is included.

Structure:
Lattice parameters (Å, degrees): 7.7992 8.7533 10.6346 90.00 102.35 90.00
Space group P2_1/c (No. 14)
Unique sites:
Cs  0.0414  0.2425  0.3534 [4 per cell]
Np  0.4876  0.0223  0.1752 [4 per cell]
Mo  0.3890  0.6476  0.9462 [4 per cell]
O  0.1634  0.6361  0.9384 [4 per cell]
O  0.2527  0.0625  0.1281 [4 per cell]
O  0.2767  0.0093  0.7734 [4 per cell]
O  0.4412  0.7099  0.7829 [4 per cell]
O  0.4586  0.0636  0.3917 [4 per cell]
O  0.4695  0.6484  0.5116 [4 per cell]

Largest 6 diffraction maxima, sorted by position, 10° ≤ 2θ ≤ 90°:
| 2theta | d_spacing | I/Imax | (hkl) |
| --- | --- | --- | --- |
| 11.6 | 7.619 | 737 | 1 0 0 |
| 23.4 | 3.801 | 1000 | 2 0 0 |
| 24.9 | 3.577 | 284 | 1 1 2 |
| 27.6 | 3.233 | 222 | 1 2 -2 |
| 27.7 | 3.220 | 255 | 0 1 3 |
| 27.9 | 3.203 | 410 | 1 1 -3 |

***

[2]
Starting from a PBE+U-relaxed structure, the powder diffraction line list of MgMn3CoO8 was simulated for CuKα.
No peak broadening, texture or thermal motion is included.

Structure:
Lattice parameters (Å, degrees): 10.1619 5.8272 5.6955 90.00 120.91 90.00
Space group C2/m (No. 12)
Unique sites:
Mg  0.0000  0.0000  0.0000 [2 per cell]
Mn  0.0000  0.5000  0.5000 [2 per cell]
Mn  0.2500  0.2500  0.0000 [4 per cell]
Co  0.0000  0.5000  0.0000 [2 per cell]
O  0.0268  0.2727  0.7797 [8 per cell]
O  0.2229  0.5000  0.1985 [4 per cell]
O  0.2340  0.0000  0.2045 [4 per cell]

Largest 6 diffraction maxima, sorted by position, 10° ≤ 2θ ≤ 90°:
| 2theta | d_spacing | I/Imax | (hkl) |
| --- | --- | --- | --- |
| 18.2 | 4.886 | 1000 | 0 0 1 |
| 18.3 | 4.845 | 668 | 1 1 0 |
| 19.1 | 4.649 | 247 | 2 0 -1 |
| 37.1 | 2.422 | 246 | 2 2 0 |
| 41.4 | 2.180 | 452 | 4 0 0 |
| 44.5 | 2.035 | 786 | 2 2 -2 |

***

[3]
Starting from a PBE+U-relaxed structure, the powder diffraction line list of CoCu2TeO6 was simulated for CuKα.
No peak broadening, texture or thermal motion is included.

Structure:
Lattice parameters (Å, degrees): 9.6395 9.6976 9.7259 90.00 90.00 90.00
Space group I2_12_12_1 (No. 24)
Unique sites:
Co  0.0000  0.2500  0.2116 [4 per cell]
Co  0.2123  0.5000  0.7500 [4 per cell]
Cu  0.0000  0.2500  0.7207 [4 per cell]
Cu  0.2204  0.0000  0.2500 [4 per cell]
Cu  0.2500  0.2233  0.5000 [4 per cell]
Cu  0.2500  0.2799  0.0000 [4 per cell]
Te  0.0036  0.0011  0.0004 [8 per cell]
O  0.0733  0.3814  0.8529 [8 per cell]
O  0.0758  0.1167  0.3535 [8 per cell]
O  0.1236  0.3583  0.5824 [8 per cell]
O  0.1255  0.1442  0.0757 [8 per cell]
O  0.1393  0.4136  0.1218 [8 per cell]
O  0.1489  0.0817  0.6187 [8 per cell]

Largest 6 diffraction maxima, sorted by position, 10° ≤ 2θ ≤ 90°:
| 2theta | d_spacing | I/Imax | (hkl) |
| --- | --- | --- | --- |
| 18.3 | 4.856 | 121 | 0 0 2 |
| 32.0 | 2.797 | 1000 | 2 2 2 |
| 53.4 | 1.717 | 133 | 0 4 4 |
| 53.6 | 1.710 | 252 | 4 4 0 |
| 63.5 | 1.465 | 99 | 2 2 6 |
| 63.7 | 1.462 | 105 | 2 6 2 |